Structure and theoretical PXRD pattern of LiFeO3 (a crystal structure in Alexandria, relaxed with GGA+U; Cu Kα).
Peak positions follow from Bragg's law for the DFT cell and can differ from measured ones.

Structural model:
```
LiFeO3
1.0
5.351 -1.433 0.000
5.351 1.433 0.000
-2.748 0.000 6.491
Li Fe O
2 2 6
direct
0.125 0.125 0.370
0.875 0.875 0.630
0.314 0.314 0.193
0.686 0.686 0.807
0.141 0.141 0.953
0.242 0.242 0.678
0.496 0.496 0.396
0.504 0.504 0.604
0.758 0.758 0.322
0.859 0.859 0.047
```

Main lines, most intense first (2θ = 10–90°):
d [Å]	Position (°2θ)	I (rel.)
4.967	17.9	100
4.928	18.0	42
2.058	44.0	32
2.326	38.7	20
2.639	34.0	19
2.222	40.6	17
2.053	44.1	16
3.246	27.5	10
1.772	51.6	10
1.624	56.7	9